Entry 1:
This entry pairs a crystal structure of Tb2NdUO8 with its theoretical powder diffraction line list. Radiation: Cu Kα X-rays. Structure: a crystal structure in Alexandria, relaxed with PBE.
Kinematic intensities with the Lorentz-polarization factor, no thermal factor.

```
data_Tb2NdUO8
_space_group_name_H-M_alt 'P m m m'
_space_group_IT_number 47
_cell_length_a 3.922
_cell_length_b 5.362
_cell_length_c 7.666
_cell_angle_alpha 90.00
_cell_angle_beta 90.00
_cell_angle_gamma 90.00
loop_
_space_group_symop_operation_xyz
'x,y,z'
'-x,-y,-z'
'-x,-y,z'
'x,y,-z'
'x,-y,-z'
'-x,y,z'
'-x,y,-z'
'x,-y,z'
loop_
_atom_site_label
_atom_site_type_symbol
_atom_site_fract_x
_atom_site_fract_y
_atom_site_fract_z
_atom_site_occupancy
Tb1 Tb 0.000 0.000 0.241 1
Nd1 Nd 0.500 0.500 0.500 1
U1 U 0.500 0.500 0.000 1
O1 O 0.000 0.235 0.500 1
O2 O 0.000 0.269 0.000 1
O3 O 0.500 0.257 0.222 1
```

Top 8 peaks for 2θ from 10° to 90°, by intensity:
| two_theta | I (rel.) | index |
| --- | --- | --- |
| 28.19 | 100.0 | 1 1 0 |
| 28.63 | 94.4 | 0 1 2 |
| 47.43 | 81.4 | 1 2 2 |
| 32.67 | 43.9 | 1 0 2 |
| 55.34 | 30.6 | 2 1 2 |
| 56.10 | 29.1 | 1 1 4 |
| 33.42 | 20.7 | 0 2 0 |
| 46.29 | 18.0 | 2 0 0 |

---

Entry 2:
This entry pairs a crystal structure of Y6TlBi3 with its theoretical powder diffraction line list. Radiation: Cu Kα X-rays. Structure: a crystal structure in Alexandria, relaxed with PBE.
Kinematic intensities with the Lorentz-polarization factor, no thermal factor.

```
data_Y6TlBi3
_space_group_name_H-M_alt 'C m c m'
_space_group_IT_number 63
_space_group_name_Hall '-C 2c 2'
_cell_length_a 11.901
_cell_length_b 11.699
_cell_length_c 8.599
_cell_angle_alpha 90.00
_cell_angle_beta 90.00
_cell_angle_gamma 90.00
loop_
_atom_site_label
_atom_site_type_symbol
_atom_site_fract_x
_atom_site_fract_y
_atom_site_fract_z
_atom_site_occupancy
Y1 Y 0.000 0.161 0.003 1
Y2 Y 0.157 0.500 0.000 1
Y3 Y 0.247 0.253 0.250 1
Tl1 Tl 0.000 0.353 0.250 1
Bi1 Bi 0.000 0.357 0.750 1
Bi2 Bi 0.147 0.002 0.250 1
```

Top 8 peaks for 2θ from 10° to 90°, by intensity:
| two_theta | I (rel.) | index |
| --- | --- | --- |
| 31.63 | 100.0 | 3 1 2 |
| 31.88 | 96.8 | 1 3 2 |
| 33.80 | 36.0 | 4 2 0 |
| 34.16 | 34.2 | 2 4 0 |
| 20.66 | 34.0 | 0 0 2 |
| 42.03 | 26.0 | 0 0 4 |
| 63.49 | 20.5 | 7 3 2 |
| 64.24 | 19.3 | 3 7 2 |

---

Entry 3:
This entry pairs a crystal structure of Ho6TlIn with its theoretical powder diffraction line list. Radiation: Cu Kα X-rays. Structure: a crystal structure in Alexandria, relaxed with PBE.
Kinematic intensities with the Lorentz-polarization factor, no thermal factor.

```
data_Ho6TlIn
_space_group_name_H-M_alt 'P 4/m m m'
_space_group_IT_number 123
_space_group_name_Hall '-P 4 2'
_cell_length_a 4.826
_cell_length_b 4.826
_cell_length_c 9.653
_cell_angle_alpha 90.00
_cell_angle_beta 90.00
_cell_angle_gamma 90.00
loop_
_atom_site_label
_atom_site_type_symbol
_atom_site_fract_x
_atom_site_fract_y
_atom_site_fract_z
_atom_site_occupancy
Ho1 Ho 0.000 0.000 0.000 1
Ho2 Ho 0.000 0.000 0.500 1
Ho3 Ho 0.000 0.500 0.248 1
Tl1 Tl 0.500 0.500 0.500 1
In1 In 0.500 0.500 0.000 1
```

Top 8 peaks for 2θ from 10° to 90°, by intensity:
| two_theta | I (rel.) | index |
| --- | --- | --- |
| 32.12 | 100.0 | 1 1 2 |
| 37.26 | 50.4 | 2 0 0 |
| 63.98 | 41.7 | 3 1 2 |
| 53.72 | 35.3 | 2 2 0 |
| 88.26 | 18.0 | 3 3 2 |
| 67.19 | 12.0 | 2 2 4 |
| 79.43 | 5.7 | 4 0 0 |
| 20.58 | 1.2 | 1 0 1 |